Record 1
Computed powder diffractogram
Compound: Ca3Te5
Radiation: CuKα
Structure: a cell relaxed with GGA-PBE
No peak broadening, texture or thermal motion is included.

Crystal structure
```
data_Ca3Te5
_chemical_formula_sum 'Ca6 Te10'
_cell_length_a 9.5935
_cell_length_b 9.5935
_cell_length_c 6.2836
_cell_angle_alpha 90.00
_cell_angle_beta 90.00
_cell_angle_gamma 120.00
_space_group_name_H-M_alt 'P 63/m c m'
_space_group_IT_number 193
_space_group_name_Hall '-P 6c 2'
loop_
_atom_site_label
_atom_site_type_symbol
_atom_site_fract_x
_atom_site_fract_y
_atom_site_fract_z
Ca1 Ca 0.0000 0.3721 0.2500
Te1 Te 0.0000 0.2725 0.7500
Te2 Te 0.3333 0.6667 0.0000
```

Most intense lines, 10° ≤ 2θ ≤ 90°, by angle:
2theta	I_rel	index
23.33	38	1 1 1
28.42	41	0 0 2
31.86	66	2 1 1
32.33	91	3 0 0
34.11	100	1 1 2
47.71	41	2 2 2

=====

Record 2
Computed powder diffractogram
Compound: LaPm2PrTm
Radiation: CuKα
Structure: a cell relaxed with GGA-PBE
No peak broadening, texture or thermal motion is included.

Crystal structure
```
data_LaPm2PrTm
_chemical_formula_sum 'La2 Pm4 Pr2 Tm2'
_cell_length_a 9.174
_cell_length_b 6.484
_cell_length_c 6.478
_cell_angle_alpha 90.00
_cell_angle_beta 110.22
_cell_angle_gamma 90.00
_space_group_name_H-M_alt 'P 1 2/c 1'
_space_group_IT_number 13
_space_group_name_Hall '-P 2yc'
loop_
_atom_site_label
_atom_site_type_symbol
_atom_site_fract_x
_atom_site_fract_y
_atom_site_fract_z
La1 La 0.000 0.000 0.000
Pm1 Pm 0.316 0.325 0.159
Pr1 Pr 0.500 0.161 0.750
Tm1 Tm 0.000 0.497 0.750
```

Most intense lines, 10° ≤ 2θ ≤ 90°, by angle:
2theta	I_rel	index
29.43	100	1 2 0
31.29	78	1 2 -1
32.43	47	2 1 1
32.58	72	3 1 -1
37.29	50	1 1 2
37.54	49	3 1 -2

=====

Record 3
Computed powder diffractogram
Compound: Ac3Ga6Pd5
Radiation: CuKα
Structure: a cell relaxed with GGA-PBE
No peak broadening, texture or thermal motion is included.

Crystal structure
```
data_Ac3Ga6Pd5
_chemical_formula_sum 'Ac6 Ga12 Pd10'
_cell_length_a 4.446
_cell_length_b 13.179
_cell_length_c 9.983
_cell_angle_alpha 90.00
_cell_angle_beta 90.00
_cell_angle_gamma 90.00
_space_group_name_H-M_alt 'P m m n'
_space_group_IT_number 59
loop_
_space_group_symop_operation_xyz
'x,y,z'
'-x,-y,-z'
'-x+1/2,-y+1/2,z'
'x+1/2,y+1/2,-z'
'x+1/2,-y,-z'
'-x+1/2,y,z'
'-x,y+1/2,-z'
'x,-y+1/2,z'
loop_
_atom_site_label
_atom_site_type_symbol
_atom_site_fract_x
_atom_site_fract_y
_atom_site_fract_z
Ac1 Ac 0.250 0.063 0.247
Ac2 Ac 0.250 0.750 0.260
Ga1 Ga 0.250 0.067 0.587
Ga2 Ga 0.250 0.250 0.024
Ga3 Ga 0.250 0.250 0.452
Ga4 Ga 0.250 0.600 0.989
Pd1 Pd 0.250 0.091 0.864
Pd2 Pd 0.250 0.638 0.537
Pd3 Pd 0.250 0.750 0.805
```

Most intense lines, 10° ≤ 2θ ≤ 90°, by angle:
2theta	I_rel	index
28.57	26	1 3 0
33.64	32	1 0 3
33.83	100	1 3 2
40.59	29	2 0 0
41.09	13	0 6 0
53.81	13	2 3 3

=====

Record 4
Computed powder diffractogram
Compound: Nd8Hg2Os
Radiation: CuKα
Structure: a cell relaxed with GGA-PBE
No peak broadening, texture or thermal motion is included.

Crystal structure
```
data_Nd8Hg2Os
_chemical_formula_sum 'Nd16 Hg4 Os2'
_cell_length_a 18.321
_cell_length_b 5.321
_cell_length_c 7.088
_cell_angle_alpha 90.00
_cell_angle_beta 104.20
_cell_angle_gamma 90.00
_space_group_name_H-M_alt 'C 1 2/m 1'
_space_group_IT_number 12
_space_group_name_Hall '-C 2y'
loop_
_atom_site_label
_atom_site_type_symbol
_atom_site_fract_x
_atom_site_fract_y
_atom_site_fract_z
Nd1 Nd 0.023 0.000 0.288
Nd2 Nd 0.088 0.500 0.930
Nd3 Nd 0.153 0.500 0.461
Nd4 Nd 0.201 0.000 0.806
Hg1 Hg 0.188 0.000 0.229
Os1 Os 0.000 0.500 0.500
```

Most intense lines, 10° ≤ 2θ ≤ 90°, by angle:
2theta	I_rel	index
30.14	36	2 0 2
30.29	100	5 1 0
32.44	64	1 1 2
33.69	74	0 2 0
35.83	57	5 1 -2
58.17	33	8 2 1

=====

Record 5
Computed powder diffractogram
Compound: Tb2Pm2Pd15
Radiation: CuKα
Structure: a cell relaxed with GGA-PBE
No peak broadening, texture or thermal motion is included.

Crystal structure
```
data_Tb2Pm2Pd15
_chemical_formula_sum 'Tb6 Pm6 Pd45'
_cell_length_a 9.2539
_cell_length_b 9.2539
_cell_length_c 14.1788
_cell_angle_alpha 90.00
_cell_angle_beta 90.00
_cell_angle_gamma 120.00
_space_group_name_H-M_alt 'R -3 m'
_space_group_IT_number 166
_space_group_name_Hall '-R 3 2"'
loop_
_atom_site_label
_atom_site_type_symbol
_atom_site_fract_x
_atom_site_fract_y
_atom_site_fract_z
Tb1 Tb 0.0000 0.0000 0.1085
Pm1 Pm 0.0000 0.0000 0.3620
Pd1 Pd 0.0000 0.3076 0.0000
Pd2 Pd 0.0000 0.5000 0.5000
Pd3 Pd 0.0068 0.5034 0.1534
```

Most intense lines, 10° ≤ 2θ ≤ 90°, by angle:
2theta	I_rel	index
33.55	55	3 0 0
33.76	49	0 2 4
38.08	37	0 0 6
38.72	100	0 3 3
38.93	92	2 2 0
43.56	88	2 2 3

=====

Record 6
Computed powder diffractogram
Compound: CeMg4Sn2
Radiation: CuKα
Structure: a cell relaxed with GGA-PBE
No peak broadening, texture or thermal motion is included.

Crystal structure
```
data_CeMg4Sn2
_chemical_formula_sum 'Ce2 Mg8 Sn4'
_cell_length_a 8.732
_cell_length_b 8.732
_cell_length_c 4.608
_cell_angle_alpha 90.00
_cell_angle_beta 90.00
_cell_angle_gamma 90.00
_space_group_name_H-M_alt 'P 42/m n m'
_space_group_IT_number 136
_space_group_name_Hall '-P 4n 2n'
loop_
_atom_site_label
_atom_site_type_symbol
_atom_site_fract_x
_atom_site_fract_y
_atom_site_fract_z
Ce1 Ce 0.000 0.000 0.000
Mg1 Mg 0.096 0.350 0.500
Sn1 Sn 0.201 0.799 0.500
```

Most intense lines, 10° ≤ 2θ ≤ 90°, by angle:
2theta	I_rel	index
14.35	34	1 1 0
24.10	51	1 1 1
28.92	47	2 2 0
29.99	100	2 1 1
36.51	52	3 0 1
37.99	39	3 1 1

=====

Record 7
Computed powder diffractogram
Compound: Pr8Nd5Y
Radiation: CuKα
Structure: a cell relaxed with GGA-PBE
No peak broadening, texture or thermal motion is included.

Crystal structure
```
data_Pr8Nd5Y
_chemical_formula_sum 'Pr16 Nd10 Y2'
_cell_length_a 9.906
_cell_length_b 9.906
_cell_length_c 10.394
_cell_angle_alpha 90.00
_cell_angle_beta 90.00
_cell_angle_gamma 90.00
_space_group_name_H-M_alt 'I -4'
_space_group_IT_number 82
_space_group_name_Hall 'I -4'
loop_
_atom_site_label
_atom_site_type_symbol
_atom_site_fract_x
_atom_site_fract_y
_atom_site_fract_z
Pr1 Pr 0.070 0.327 0.096
Pr2 Pr 0.083 0.183 0.755
Nd1 Nd 0.000 0.000 0.000
Nd2 Nd 0.106 0.208 0.425
Y1 Y 0.000 0.500 0.750
```

Most intense lines, 10° ≤ 2θ ≤ 90°, by angle:
2theta	I_rel	index
27.27	55	1 0 3
28.36	63	3 0 1
28.49	79	3 1 0
32.82	100	1 2 3
33.40	40	3 1 2
33.75	47	3 2 1

=====

Record 8
Computed powder diffractogram
Compound: Na2CdSb2Pd5
Radiation: CuKα
Structure: a cell relaxed with GGA-PBE
No peak broadening, texture or thermal motion is included.

Crystal structure
```
data_Na2CdSb2Pd5
_chemical_formula_sum 'Na4 Cd2 Sb4 Pd10'
_cell_length_a 10.606
_cell_length_b 10.606
_cell_length_c 3.573
_cell_angle_alpha 90.00
_cell_angle_beta 90.00
_cell_angle_gamma 90.00
_space_group_name_H-M_alt 'P 4/m b m'
_space_group_IT_number 127
_space_group_name_Hall '-P 4 2ab'
loop_
_atom_site_label
_atom_site_type_symbol
_atom_site_fract_x
_atom_site_fract_y
_atom_site_fract_z
Na1 Na 0.169 0.331 0.000
Cd1 Cd 0.000 0.000 0.000
Sb1 Sb 0.134 0.634 0.000
Pd1 Pd 0.000 0.500 0.500
Pd2 Pd 0.056 0.804 0.500
```

Most intense lines, 10° ≤ 2θ ≤ 90°, by angle:
2theta	I_rel	index
16.72	19	2 0 0
18.71	54	2 1 0
34.68	17	2 2 1
36.75	100	3 1 1
39.69	33	3 2 1
43.34	18	4 1 1

=====

Record 9
Computed powder diffractogram
Compound: Pr2SBr2O
Radiation: CuKα
Structure: a cell relaxed with GGA-PBE
No peak broadening, texture or thermal motion is included.

Crystal structure
```
data_Pr2SBr2O
_chemical_formula_sum 'Pr4 S2 Br4 O2'
_cell_length_a 4.092
_cell_length_b 11.545
_cell_length_c 7.306
_cell_angle_alpha 90.00
_cell_angle_beta 90.00
_cell_angle_gamma 90.00
_space_group_name_H-M_alt 'P m c 21'
_space_group_IT_number 26
_space_group_name_Hall 'P 2c -2'
loop_
_atom_site_label
_atom_site_type_symbol
_atom_site_fract_x
_atom_site_fract_y
_atom_site_fract_z
Pr1 Pr 0.000 0.066 0.000
Pr2 Pr 0.500 0.221 0.407
S1 S 0.500 0.058 0.695
Br1 Br 0.000 0.387 0.548
Br2 Br 0.500 0.272 0.013
O1 O 0.000 0.123 0.335
```

Most intense lines, 10° ≤ 2θ ≤ 90°, by angle:
2theta	I_rel	index
24.37	66	0 0 2
26.15	36	0 3 1
26.70	90	1 2 0
29.42	100	1 2 1
33.38	47	0 4 1
36.46	72	1 2 2